This entry pairs a crystal structure of C with its theoretical powder diffractogram. Radiation: Cu Kα, 1.54184 Å. Structure: a structure optimized by DFT (PBE).
Intensities are scaled so that the largest is 100.

Atomic structure:
```
data_C
_chemical_formula_sum 'C12'
_space_group_name_H-M_alt 'P 63/m m c'
_space_group_IT_number 194
_space_group_name_Hall '-P 6c 2c'
_cell_length_a 2.4672
_cell_length_b 2.4672
_cell_length_c 31.9830
_cell_angle_alpha 90.00
_cell_angle_beta 90.00
_cell_angle_gamma 120.00
loop_
_atom_site_label
_atom_site_type_symbol
_atom_site_fract_x
_atom_site_fract_y
_atom_site_fract_z
C1 C 0.0000 0.0000 0.2500
C2 C 0.3333 0.6667 0.1331
C3 C 0.3333 0.6667 0.2500
C4 C 0.3333 0.6667 0.6331
```

Peak list (8 most intense, 2θ from 10° to 80°, in order of rising 2θ)
- (0 0 4), 11.07 deg, 7.996 Å, intensity 68
- (0 0 6), 16.63 deg, 5.330 Å, intensity 4
- (0 0 8), 22.24 deg, 3.998 Å, intensity 100
- (0 0 10), 27.90 deg, 3.198 Å, intensity 24
- (1 0 0), 42.34 deg, 2.135 Å, intensity 4
- (1 0 4), 43.86 deg, 2.064 Å, intensity 11
- (0 0 16), 45.37 deg, 1.999 Å, intensity 6
- (0 0 18), 51.43 deg, 1.777 Å, intensity 4